1.
# HoSc6Te8
Calculated powder diffractogram, CuKα. Input: a GGA-PBE-relaxed structure.

Atomic structure:
Unit cell a=8.321 b=8.321 c=8.321 alpha=60.00 beta=60.00 gamma=60.00
Sites, in units of the cell vectors:
Ho: 0.000 0.000 0.000
Sc: 0.000 0.000 0.500
Sc: 0.000 0.500 0.000
Sc: 0.000 0.500 0.500
Sc: 0.500 0.000 0.000
Sc: 0.500 0.000 0.500
Sc: 0.500 0.500 0.000
Te: 0.250 0.250 0.250
Te: 0.261 0.261 0.739
Te: 0.261 0.739 0.261
Te: 0.261 0.739 0.739
Te: 0.739 0.261 0.261
Te: 0.739 0.261 0.739
Te: 0.739 0.739 0.261
Te: 0.750 0.750 0.750

The 12 most intense peaks (10° ≤ 2θ ≤ 90°), by angle:
| Position (°2θ) | d (Å) | I_rel |
| --- | --- | --- |
| 13.03 | 6.794 | 6 |
| 25.10 | 3.548 | 10 |
| 26.23 | 3.397 | 29 |
| 30.38 | 2.942 | 100 |
| 33.18 | 2.700 | 9 |
| 43.50 | 2.080 | 72 |
| 51.51 | 1.774 | 13 |
| 53.98 | 1.699 | 25 |
| 60.42 | 1.532 | 5 |
| 63.21 | 1.471 | 11 |
| 71.74 | 1.316 | 30 |
| 79.86 | 1.201 | 22 |

2.
# Y3Ho5Bi8
Calculated powder diffractogram, CuKα. Input: a GGA-PBE-relaxed structure.

Atomic structure:
Unit cell a=8.941 b=8.941 c=8.941 alpha=60.00 beta=60.00 gamma=60.00
Sites, in units of the cell vectors:
Y: 0.000 0.500 0.500
Y: 0.500 0.000 0.500
Y: 0.500 0.500 0.000
Ho: 0.000 0.000 0.000
Ho: 0.000 0.000 0.500
Ho: 0.000 0.500 0.000
Ho: 0.500 0.000 0.000
Ho: 0.500 0.500 0.500
Bi: 0.249 0.249 0.249
Bi: 0.249 0.750 0.750
Bi: 0.250 0.250 0.751
Bi: 0.250 0.751 0.250
Bi: 0.750 0.249 0.750
Bi: 0.750 0.750 0.249
Bi: 0.751 0.250 0.250
Bi: 0.751 0.751 0.751

The 12 most intense peaks (10° ≤ 2θ ≤ 90°), by angle:
| Position (°2θ) | d (Å) | I_rel |
| --- | --- | --- |
| 12.12 | 7.300 | 2 |
| 24.39 | 3.650 | 8 |
| 28.23 | 3.161 | 100 |
| 40.35 | 2.235 | 78 |
| 47.71 | 1.906 | 4 |
| 49.97 | 1.825 | 28 |
| 58.39 | 1.581 | 13 |
| 64.22 | 1.450 | 2 |
| 66.10 | 1.414 | 37 |
| 73.37 | 1.290 | 28 |
| 78.64 | 1.217 | 2 |
| 87.23 | 1.118 | 9 |

3.
# AcTb4Pm4
Calculated powder diffractogram, CuKα. Input: a GGA-PBE-relaxed structure.

Atomic structure:
Unit cell a=8.160 b=8.160 c=8.160 alpha=95.71 beta=95.71 gamma=143.23
Sites, in units of the cell vectors:
Ac: 0.000 0.000 0.000
Tb: 0.330 0.330 0.660
Tb: 0.330 0.670 0.000
Tb: 0.670 0.330 0.000
Tb: 0.670 0.670 0.340
Pm: 0.000 0.334 0.334
Pm: 0.000 0.666 0.666
Pm: 0.334 0.000 0.334
Pm: 0.666 0.000 0.666

The 12 most intense peaks (10° ≤ 2θ ≤ 90°), by angle:
| Position (°2θ) | d (Å) | I_rel |
| --- | --- | --- |
| 30.01 | 2.978 | 100 |
| 34.76 | 2.581 | 34 |
| 34.86 | 2.574 | 17 |
| 50.02 | 1.823 | 36 |
| 59.40 | 1.556 | 29 |
| 59.53 | 1.553 | 14 |
| 62.37 | 1.489 | 13 |
| 73.36 | 1.291 | 4 |
| 81.24 | 1.184 | 6 |
| 81.36 | 1.183 | 12 |
| 83.83 | 1.154 | 11 |
| 84.04 | 1.152 | 6 |

4.
# YErZnIn
Calculated powder diffractogram, CuKα. Input: a GGA-PBE-relaxed structure.

Atomic structure:
Unit cell a=3.631 b=3.631 c=7.398 alpha=90.00 beta=90.00 gamma=90.00
Sites, in units of the cell vectors:
Y: 0.000 0.000 0.000
Er: 0.000 0.000 0.538
Zn: 0.500 0.500 0.763
In: 0.500 0.500 0.272

The 12 most intense peaks (10° ≤ 2θ ≤ 90°), by angle:
| Position (°2θ) | d (Å) | I_rel |
| --- | --- | --- |
| 11.96 | 7.398 | 10 |
| 27.36 | 3.260 | 10 |
| 34.62 | 2.591 | 100 |
| 34.94 | 2.568 | 50 |
| 49.27 | 1.849 | 8 |
| 50.25 | 1.816 | 18 |
| 61.82 | 1.501 | 16 |
| 62.46 | 1.487 | 35 |
| 73.03 | 1.296 | 10 |
| 82.65 | 1.167 | 6 |
| 84.16 | 1.150 | 8 |
| 84.35 | 1.148 | 8 |